No. 1
Theoretical powder XRD pattern
Compound: Ti3Ni2H
Radiation: CuKα
Structure: a structure optimized by DFT (PBE)

Structure:
```
data_Ti3Ni2H
_chemical_formula_sum 'Ti6 Ni4 H2'
_cell_length_a 12.290
_cell_length_b 4.115
_cell_length_c 2.947
_cell_angle_alpha 90.00
_cell_angle_beta 95.41
_cell_angle_gamma 90.00
_symmetry_space_group_name_H-M 'C 1 2/m 1'
_symmetry_Int_Tables_number 12
loop_
_symmetry_equiv_pos_as_xyz
'x,y,z'
'-x,-y,-z'
'-x,y,-z'
'x,-y,z'
'x+1/2,y+1/2,z'
'-x+1/2,-y+1/2,-z'
'-x+1/2,y+1/2,-z'
'x+1/2,-y+1/2,z'
loop_
_atom_site_label
_atom_site_type_symbol
_atom_site_fract_x
_atom_site_fract_y
_atom_site_fract_z
_atom_site_occupancy
Ti1 Ti 0.000 0.000 0.000 1
Ti2 Ti 0.132 0.500 0.483 1
Ni1 Ni 0.193 0.000 0.964 1
H1 H 0.000 0.500 0.000 1
```

Peak list (8 most intense, 5 to 70 degrees two-theta, in order of falling intensity)
- 2θ = 43.0°, intensity 100.0, (5 1 0)
- 2θ = 39.0°, intensity 96.7, (1 1 1)
- 2θ = 44.0°, intensity 69.9, (0 2 0)
- 2θ = 14.5°, intensity 50.3, (2 0 0)
- 2θ = 37.8°, intensity 42.2, (1 1 -1)
- 2θ = 40.5°, intensity 40.6, (4 0 -1)
- 2θ = 45.5°, intensity 38.0, (3 1 1)
- 2θ = 42.4°, intensity 37.8, (3 1 -1)

---

No. 2
Theoretical powder XRD pattern
Compound: Ti3NiH6
Radiation: CuKα
Structure: a structure optimized by DFT (PBE)

Structure:
```
data_Ti3NiH6
_chemical_formula_sum 'Ti12 Ni4 H24'
_cell_length_a 7.195
_cell_length_b 9.229
_cell_length_c 4.620
_cell_angle_alpha 90.00
_cell_angle_beta 90.00
_cell_angle_gamma 90.00
_symmetry_space_group_name_H-M 'C m c 21'
_symmetry_Int_Tables_number 36
loop_
_symmetry_equiv_pos_as_xyz
'x,y,z'
'-x,-y,z+1/2'
'-x,y,z'
'x,-y,z+1/2'
'x+1/2,y+1/2,z'
'-x+1/2,-y+1/2,z+1/2'
'-x+1/2,y+1/2,z'
'x+1/2,-y+1/2,z+1/2'
loop_
_atom_site_label
_atom_site_type_symbol
_atom_site_fract_x
_atom_site_fract_y
_atom_site_fract_z
_atom_site_occupancy
Ti1 Ti 0.000 0.120 0.000 1
Ti2 Ti 0.212 0.383 0.975 1
Ni1 Ni 0.000 0.348 0.467 1
H1 H 0.000 0.292 0.801 1
H2 H 0.000 0.485 0.227 1
H3 H 0.145 0.005 0.736 1
H4 H 0.146 0.240 0.248 1
```

Peak list (8 most intense, 5 to 70 degrees two-theta, in order of falling intensity)
- 2θ = 37.2°, intensity 100.0, (2 2 1)
- 2θ = 39.0°, intensity 41.4, (0 0 2)
- 2θ = 69.5°, intensity 22.1, (2 2 3)
- 2θ = 56.4°, intensity 13.1, (0 4 2)
- 2θ = 65.8°, intensity 10.8, (4 0 2)
- 2θ = 50.8°, intensity 6.9, (4 0 0)
- 2θ = 43.6°, intensity 6.4, (3 1 1)
- 2θ = 31.6°, intensity 6.1, (1 3 0)

---

No. 3
Theoretical powder XRD pattern
Compound: ZrTiNi2H2
Radiation: CuKα
Structure: a structure optimized by DFT (PBE)

Structure:
```
data_ZrTiNi2H2
_chemical_formula_sum 'Zr2 Ti2 Ni4 H4'
_cell_length_a 4.052
_cell_length_b 3.320
_cell_length_c 9.791
_cell_angle_alpha 90.00
_cell_angle_beta 90.00
_cell_angle_gamma 90.00
_symmetry_space_group_name_H-M 'A m m 2'
_symmetry_Int_Tables_number 38
loop_
_symmetry_equiv_pos_as_xyz
'x,y,z'
'-x,-y,z'
'-x,y,z'
'x,-y,z'
'x,y+1/2,z+1/2'
'-x,-y+1/2,z+1/2'
'-x,y+1/2,z+1/2'
'x,-y+1/2,z+1/2'
loop_
_atom_site_label
_atom_site_type_symbol
_atom_site_fract_x
_atom_site_fract_y
_atom_site_fract_z
_atom_site_occupancy
Zr1 Zr 0.000 0.000 0.000 1
Ti1 Ti 0.500 0.000 0.283 1
Ni1 Ni 0.000 0.000 0.732 1
Ni2 Ni 0.500 0.000 0.580 1
H1 H 0.000 0.000 0.333 1
H2 H 0.500 0.000 0.064 1
```

Peak list (8 most intense, 5 to 70 degrees two-theta, in order of falling intensity)
- 2θ = 36.2°, intensity 100.0, (1 1 1)
- 2θ = 44.9°, intensity 64.9, (1 1 3)
- 2θ = 43.2°, intensity 38.0, (1 0 4)
- 2θ = 44.7°, intensity 34.5, (2 0 0)
- 2θ = 38.7°, intensity 30.5, (0 1 3)
- 2θ = 36.7°, intensity 23.7, (0 0 4)
- 2θ = 55.3°, intensity 17.6, (0 2 0)
- 2θ = 60.6°, intensity 15.1, (2 1 3)

---

No. 4
Theoretical powder XRD pattern
Compound: ZrTiNi2H6
Radiation: CuKα
Structure: a structure optimized by DFT (PBE)

Structure:
```
data_ZrTiNi2H6
_chemical_formula_sum 'Zr2 Ti2 Ni4 H12'
_cell_length_a 4.253
_cell_length_b 3.438
_cell_length_c 10.232
_cell_angle_alpha 90.00
_cell_angle_beta 90.00
_cell_angle_gamma 90.00
_symmetry_space_group_name_H-M 'A m m 2'
_symmetry_Int_Tables_number 38
loop_
_symmetry_equiv_pos_as_xyz
'x,y,z'
'-x,-y,z'
'-x,y,z'
'x,-y,z'
'x,y+1/2,z+1/2'
'-x,-y+1/2,z+1/2'
'-x,y+1/2,z+1/2'
'x,-y+1/2,z+1/2'
loop_
_atom_site_label
_atom_site_type_symbol
_atom_site_fract_x
_atom_site_fract_y
_atom_site_fract_z
_atom_site_occupancy
Zr1 Zr 0.000 0.000 0.000 1
Ti1 Ti 0.500 0.000 0.281 1
Ni1 Ni 0.000 0.000 0.714 1
Ni2 Ni 0.500 0.000 0.574 1
H1 H 0.000 0.000 0.216 1
H2 H 0.256 0.000 0.447 1
H3 H 0.274 0.000 0.824 1
H4 H 0.500 0.000 0.081 1
```

Peak list (8 most intense, 5 to 70 degrees two-theta, in order of falling intensity)
- 2θ = 34.7°, intensity 100.0, (1 1 1)
- 2θ = 43.0°, intensity 73.2, (1 1 3)
- 2θ = 41.2°, intensity 41.0, (1 0 4)
- 2θ = 42.5°, intensity 36.5, (2 0 0)
- 2θ = 37.1°, intensity 34.7, (0 1 3)
- 2θ = 17.3°, intensity 22.4, (0 0 2)
- 2θ = 35.1°, intensity 21.3, (0 0 4)
- 2θ = 57.7°, intensity 20.0, (2 1 3)